[1]
Structure and computed PXRD pattern of SmHo4Th3 (a cell relaxed with GGA-PBE; copper Kα).

Peak list (12 most intense, 2θ = 10–90°, by angle)
2θ = 30.7°, intensity 100
2θ = 35.6°, intensity 34
2θ = 35.7°, intensity 17
2θ = 51.3°, intensity 37
2θ = 60.9°, intensity 29
2θ = 61.0°, intensity 15
2θ = 64.0°, intensity 13
2θ = 75.4°, intensity 4
2θ = 83.6°, intensity 12
2θ = 83.7°, intensity 6
2θ = 86.2°, intensity 9
2θ = 86.4°, intensity 6

Structure:
```
16
Lattice="5.0318 0.0000 0.0000 0.0000 10.0848 0.0000 0.0000 0.0000 10.0939" Properties=species:S:1:pos:R:3 pbc="T T T"
Sm 1.2579 2.5212 1.2522
Sm 3.7738 7.5636 8.8417
Ho 1.2579 2.5212 6.3445
Ho 1.2579 5.0630 3.7806
Ho 1.2579 7.5636 6.2956
Ho 1.2579 10.0642 3.7806
Ho 3.7738 0.0206 6.3133
Ho 3.7738 2.5212 3.7983
Ho 3.7738 5.0218 6.3133
Ho 3.7738 7.5636 3.7494
Th 1.2579 0.0262 8.8362
Th 1.2579 5.0162 8.8362
Th 1.2579 7.5636 1.2761
Th 3.7738 2.5212 8.8178
Th 3.7738 5.0686 1.2577
Th 3.7738 10.0586 1.2577
```


[2]
Structure and computed PXRD pattern of Pm3MgB2N6 (a cell relaxed with GGA-PBE; copper Kα).

Peak list (12 most intense, 2θ = 10–90°, by angle)
2θ = 23.8°, intensity 100
2θ = 32.8°, intensity 69
2θ = 34.9°, intensity 58
2θ = 40.9°, intensity 40
2θ = 44.4°, intensity 11
2θ = 48.7°, intensity 31
2θ = 53.4°, intensity 25
2θ = 56.3°, intensity 22
2θ = 58.6°, intensity 13
2θ = 59.9°, intensity 23
2θ = 68.8°, intensity 11
2θ = 79.5°, intensity 11

Structure:
```
12
Lattice="5.4597 0.0000 0.0000 -2.7299 4.7283 0.0000 0.0000 0.0000 6.1199" Properties=species:S:1:pos:R:3 pbc="T T T"
Pm 0.0000 0.0000 0.0000
Pm 0.0000 3.1522 4.0180
Pm 2.7299 1.5761 2.1019
Mg 0.0000 0.0000 3.0600
B 0.0000 3.1522 1.5247
B 2.7299 1.5761 4.5952
N 0.0000 1.7163 1.7252
N -1.2435 3.8701 1.7252
N 1.4863 0.8581 4.3947
N 1.2435 3.8701 1.7252
N 3.9734 0.8581 4.3947
N 2.7299 3.0120 4.3947
```